Structure and theoretical powder XRD pattern of AcBRh4 (a crystal structure in Alexandria, relaxed with GGA-PBE; Cu Kα (weighted mean of Kα1 and Kα2)).
Kinematic intensities with the Lorentz-polarization factor, no thermal factor.

Principal peaks in the range 2θ from 10° to 90°, low angle first:
d = 3.304 Å, intensity 68, (1 1 2); d = 2.926 Å, intensity 100, (1 0 5); d = 2.419 Å, intensity 85, (2 0 2); d = 2.289 Å, intensity 84, (1 0 7); d = 2.104 Å, intensity 54, (2 1 3); d = 1.652 Å, intensity 48, (2 2 4)

Crystal structure
```
data_AcBRh4
_cell_length_a 5.023
_cell_length_b 5.023
_cell_length_c 17.997
_cell_angle_alpha 90.00
_cell_angle_beta 90.00
_cell_angle_gamma 90.00
_symmetry_space_group_name_H-M 'I 41/a m d'
_symmetry_Int_Tables_number 141
loop_
_symmetry_equiv_pos_as_xyz
'x,y,z'
'-x,-y,-z'
'-y+1/4,x+3/4,z+1/4'
'y+1/4,-x+3/4,-z+1/4'
'-x+1/2,-y,z+1/2'
'x+1/2,y,-z+1/2'
'y+1/4,-x+1/4,z+3/4'
'-y+1/4,x+1/4,-z+3/4'
'x,-y,-z'
'-x,y,z'
'-y+1/4,-x+1/4,-z+3/4'
'y+1/4,x+1/4,z+3/4'
'-x+1/2,y,-z+1/2'
'x+1/2,-y,z+1/2'
'y+1/4,x+3/4,-z+1/4'
'-y+1/4,-x+3/4,z+1/4'
'x+1/2,y+1/2,z+1/2'
'-x+1/2,-y+1/2,-z+1/2'
'-y+3/4,x+1/4,z+3/4'
'y+3/4,-x+1/4,-z+3/4'
'-x,-y+1/2,z'
'x,y+1/2,-z'
'y+3/4,-x+3/4,z+1/4'
'-y+3/4,x+3/4,-z+1/4'
'x+1/2,-y+1/2,-z+1/2'
'-x+1/2,y+1/2,z+1/2'
'-y+3/4,-x+3/4,-z+1/4'
'y+3/4,x+3/4,z+1/4'
'-x,y+1/2,-z'
'x,-y+1/2,z'
'y+3/4,x+1/4,-z+3/4'
'-y+3/4,-x+1/4,z+3/4'
loop_
_atom_site_label
_atom_site_fract_x
_atom_site_fract_y
_atom_site_fract_z
Ac1 0.000 0.250 0.375
B1 0.000 0.250 0.875
Rh1 0.000 0.002 0.781
```

Structure and theoretical powder XRD pattern of AcB3Ru3 (a crystal structure in Alexandria, relaxed with GGA-PBE; Cu Kα (weighted mean of Kα1 and Kα2)).
Kinematic intensities with the Lorentz-polarization factor, no thermal factor.

Principal peaks in the range 2θ from 10° to 90°, low angle first:
d = 3.581 Å, intensity 39, (2 0 2); d = 3.028 Å, intensity 100, (0 2 4); d = 2.748 Å, intensity 46, (2 0 5); d = 2.635 Å, intensity 46, (2 -1 6); d = 2.220 Å, intensity 52, (2 2 0); d = 2.085 Å, intensity 49, (4 -1 2)

Crystal structure
```
data_AcB3Ru3
_cell_length_a 8.8813
_cell_length_b 8.8813
_cell_length_c 19.6409
_cell_angle_alpha 90.00
_cell_angle_beta 90.00
_cell_angle_gamma 120.00
_symmetry_space_group_name_H-M 'R 3'
_symmetry_Int_Tables_number 146
_symmetry_space_group_name_Hall 'R 3'
loop_
_atom_site_label
_atom_site_fract_x
_atom_site_fract_y
_atom_site_fract_z
Ac1 0.0000 0.0000 0.0000
Ac2 0.0148 0.4649 0.0554
B1 0.1259 0.0892 0.8601
B2 0.1354 0.7117 0.9428
B3 0.1411 0.0396 0.1362
B4 0.1707 0.4401 0.2305
Ru1 0.0000 0.0000 0.2475
Ru2 0.0000 0.0000 0.5015
Ru3 0.0000 0.0000 0.6382
Ru4 0.0214 0.4477 0.5378
Ru5 0.0307 0.5757 0.2528
Ru6 0.0387 0.5770 0.8200
```

Structure and theoretical powder XRD pattern of Ac2B7Ru12 (a crystal structure in Alexandria, relaxed with GGA-PBE; Cu Kα (weighted mean of Kα1 and Kα2)).
Kinematic intensities with the Lorentz-polarization factor, no thermal factor.

Principal peaks in the range 2θ from 10° to 90°, low angle first:
d = 3.423 Å, intensity 17, (1 0 1); d = 3.029 Å, intensity 27, (1 2 0); d = 2.365 Å, intensity 100, (1 2 1); d = 2.223 Å, intensity 12, (3 1 0); d = 1.893 Å, intensity 16, (0 0 2); d = 1.749 Å, intensity 12, (4 1 0)

Crystal structure
```
data_Ac2B7Ru12
_cell_length_a 9.2551
_cell_length_b 9.2551
_cell_length_c 3.7852
_cell_angle_alpha 90.00
_cell_angle_beta 90.00
_cell_angle_gamma 120.00
_symmetry_space_group_name_H-M 'P -6'
_symmetry_Int_Tables_number 174
loop_
_symmetry_equiv_pos_as_xyz
'x,y,z'
'-x+y,-x,-z'
'-y,x-y,z'
'x,y,-z'
'-x+y,-x,z'
'-y,x-y,-z'
loop_
_atom_site_label
_atom_site_fract_x
_atom_site_fract_y
_atom_site_fract_z
Ac1 0.0000 0.0000 0.0000
Ac2 0.3333 0.6667 0.5000
B1 0.0678 0.6456 0.0000
B2 0.2923 0.0320 0.5000
B3 0.6667 0.3333 0.0000
Ru1 0.0591 0.7633 0.5000
Ru2 0.0904 0.4015 0.0000
Ru3 0.4049 0.2196 0.0000
Ru4 0.5535 0.1276 0.5000
```

Structure and theoretical powder XRD pattern of Ac2B4Ru3 (a crystal structure in Alexandria, relaxed with GGA-PBE; Cu Kα (weighted mean of Kα1 and Kα2)).
Kinematic intensities with the Lorentz-polarization factor, no thermal factor.

Principal peaks in the range 2θ from 10° to 90°, low angle first:
d = 4.852 Å, intensity 27, (0 2 0); d = 3.029 Å, intensity 100, (1 1 3); d = 2.471 Å, intensity 72, (2 2 0); d = 2.426 Å, intensity 27, (0 4 0); d = 2.271 Å, intensity 53, (1 3 3); d = 1.514 Å, intensity 38, (2 2 6)

Crystal structure
```
data_Ac2B4Ru3
_cell_length_a 5.740
_cell_length_b 9.705
_cell_length_c 11.503
_cell_angle_alpha 90.00
_cell_angle_beta 90.00
_cell_angle_gamma 90.00
_symmetry_space_group_name_H-M 'F m m m'
_symmetry_Int_Tables_number 69
_symmetry_space_group_name_Hall '-F 2 2'
loop_
_atom_site_label
_atom_site_fract_x
_atom_site_fract_y
_atom_site_fract_z
Ac1 0.000 0.000 0.157
B1 0.000 0.168 0.387
Ru1 0.000 0.000 0.500
Ru2 0.250 0.250 0.000
```

Structure and theoretical powder XRD pattern of AcBS (a crystal structure in Alexandria, relaxed with GGA-PBE; Cu Kα (weighted mean of Kα1 and Kα2)).
Kinematic intensities with the Lorentz-polarization factor, no thermal factor.

Principal peaks in the range 2θ from 10° to 90°, low angle first:
d = 4.400 Å, intensity 41, (1 1 1); d = 4.132 Å, intensity 41, (0 2 1); d = 3.356 Å, intensity 37, (2 0 0); d = 3.002 Å, intensity 100, (1 1 2); d = 2.781 Å, intensity 52, (1 3 1); d = 2.605 Å, intensity 65, (2 2 1)

Crystal structure
```
data_AcBS
_cell_length_a 6.712
_cell_length_b 10.152
_cell_length_c 7.113
_cell_angle_alpha 90.00
_cell_angle_beta 90.00
_cell_angle_gamma 90.00
_symmetry_space_group_name_H-M 'C m c e'
_symmetry_Int_Tables_number 64
_symmetry_space_group_name_Hall '-C 2ac 2'
loop_
_atom_site_label
_atom_site_fract_x
_atom_site_fract_y
_atom_site_fract_z
Ac1 0.000 0.157 0.131
B1 0.000 0.078 0.530
S1 0.250 0.101 0.750
```

Structure and theoretical powder XRD pattern of AcB2S6 (a crystal structure in Alexandria, relaxed with GGA-PBE; Cu Kα (weighted mean of Kα1 and Kα2)).
Kinematic intensities with the Lorentz-polarization factor, no thermal factor.

Principal peaks in the range 2θ from 10° to 90°, low angle first:
d = 5.127 Å, intensity 81, (1 1 -1); d = 4.080 Å, intensity 70, (1 1 1); d = 3.665 Å, intensity 100, (3 1 -1); d = 2.669 Å, intensity 33, (3 1 1); d = 2.578 Å, intensity 55, (4 2 0); d = 2.446 Å, intensity 56, (0 2 2)

Crystal structure
```
data_AcB2S6
_cell_length_a 12.499
_cell_length_b 10.923
_cell_length_c 5.850
_cell_angle_alpha 90.00
_cell_angle_beta 110.64
_cell_angle_gamma 90.00
_symmetry_space_group_name_H-M 'C 1 2/c 1'
_symmetry_Int_Tables_number 15
loop_
_symmetry_equiv_pos_as_xyz
'x,y,z'
'-x,-y,-z'
'-x,y,-z+1/2'
'x,-y,z+1/2'
'x+1/2,y+1/2,z'
'-x+1/2,-y+1/2,-z'
'-x+1/2,y+1/2,-z+1/2'
'x+1/2,-y+1/2,z+1/2'
loop_
_atom_site_label
_atom_site_fract_x
_atom_site_fract_y
_atom_site_fract_z
Ac1 0.000 0.206 0.250
B1 0.221 0.452 0.805
S1 0.124 0.001 0.092
S2 0.132 0.467 0.465
S3 0.219 0.276 0.812
```

Structure and theoretical powder XRD pattern of Ac2BS4 (a crystal structure in Alexandria, relaxed with GGA-PBE; Cu Kα (weighted mean of Kα1 and Kα2)).
Kinematic intensities with the Lorentz-polarization factor, no thermal factor.

Principal peaks in the range 2θ from 10° to 90°, low angle first:
d = 4.475 Å, intensity 100, (1 1 0); d = 3.289 Å, intensity 49, (1 1 -2); d = 3.139 Å, intensity 30, (0 2 0); d = 2.923 Å, intensity 28, (2 0 -2); d = 2.436 Å, intensity 45, (0 2 2); d = 2.237 Å, intensity 30, (2 2 0)

Crystal structure
```
data_Ac2BS4
_cell_length_a 6.679
_cell_length_b 6.279
_cell_length_c 8.102
_cell_angle_alpha 90.00
_cell_angle_beta 107.22
_cell_angle_gamma 90.00
_symmetry_space_group_name_H-M 'P 1 21/m 1'
_symmetry_Int_Tables_number 11
loop_
_symmetry_equiv_pos_as_xyz
'x,y,z'
'-x,-y,-z'
'-x,y+1/2,-z'
'x,-y+1/2,z'
loop_
_atom_site_label
_atom_site_fract_x
_atom_site_fract_y
_atom_site_fract_z
Ac1 0.225 0.250 0.434
Ac2 0.258 0.250 0.942
B1 0.299 0.750 0.206
S1 0.120 0.750 0.368
S2 0.141 0.750 0.955
S3 0.483 0.508 0.258
```

Structure and theoretical powder XRD pattern of SrAcB2S6 (a crystal structure in Alexandria, relaxed with GGA-PBE; Cu Kα (weighted mean of Kα1 and Kα2)).
Kinematic intensities with the Lorentz-polarization factor, no thermal factor.

Principal peaks in the range 2θ from 10° to 90°, low angle first:
d = 7.053 Å, intensity 82, (1 1 0); d = 5.118 Å, intensity 57, (0 2 1); d = 4.308 Å, intensity 100, (0 0 2); d = 3.708 Å, intensity 73, (1 3 -1); d = 3.689 Å, intensity 75, (2 2 -1); d = 2.497 Å, intensity 56, (1 3 -3)

Crystal structure
```
data_SrAcB2S6
_cell_length_a 9.127
_cell_length_b 12.733
_cell_length_c 9.272
_cell_angle_alpha 90.00
_cell_angle_beta 111.85
_cell_angle_gamma 90.00
_symmetry_space_group_name_H-M 'C 1 2/c 1'
_symmetry_Int_Tables_number 15
loop_
_symmetry_equiv_pos_as_xyz
'x,y,z'
'-x,-y,-z'
'-x,y,-z+1/2'
'x,-y,z+1/2'
'x+1/2,y+1/2,z'
'-x+1/2,-y+1/2,-z'
'-x+1/2,y+1/2,-z+1/2'
'x+1/2,-y+1/2,z+1/2'
loop_
_atom_site_label
_atom_site_fract_x
_atom_site_fract_y
_atom_site_fract_z
Sr1 0.000 0.216 0.250
Ac1 0.000 0.405 0.750
B1 0.209 0.100 0.713
S1 0.111 0.407 0.113
S2 0.135 0.224 0.619
S3 0.139 0.027 0.127
```

Question: Which formula does entry 4 have?
Answer: Ac2B4Ru3